# 1
Theoretical PXRD pattern of Dy2VFeO6 for a wavelength of 1.5418 Å, from a DFT-relaxed cell (GGA+U, the Materials Project).
Kinematic intensities with the Lorentz-polarization factor, no thermal factor.

Structural model:
Unit cell a=5.2509 b=5.6822 c=9.1956 alpha=90.00 beta=124.72 gamma=90.00
Space group P2_1/c (No. 14)
Inequivalent atoms, fractional coordinates:
Dy  0.2271  0.0732  0.2492 [4 per cell]
V  0.5000  0.0000  0.0000 [2 per cell]
Fe  0.0000  0.0000  0.5000 [2 per cell]
O  0.1340  0.1951  0.9444 [4 per cell]
O  0.2508  0.6890  0.9447 [4 per cell]
O  0.3583  0.0395  0.7480 [4 per cell]

Top 6 peaks for 15 to 90 degrees two-theta, by intensity:
hkl, 2theta, I/Imax
1 1 1, 33.2, 100
1 1 0, 25.9, 28
2 0 -2, 34.2, 25
1 3 -2, 52.8, 23
2 0 -6, 60.5, 23
1 1 -1, 23.1, 23

***

# 2
Theoretical PXRD pattern of Ba2CaWO6 for a wavelength of 1.5418 Å, from a DFT-relaxed cell (GGA+U, the Materials Project).
Kinematic intensities with the Lorentz-polarization factor, no thermal factor.

Structural model:
Unit cell a=8.5300 b=8.5300 c=8.5300 alpha=90.00 beta=90.00 gamma=90.00
Space group Pn-3 (No. 201, origin choice 2)
Inequivalent atoms, fractional coordinates:
Ba  0.2500  0.2500  0.2500 [2 per cell]
Ba  0.2500  0.2500  0.7500 [6 per cell]
Ca  0.0000  0.0000  0.0000 [4 per cell]
W  0.0000  0.0000  0.5000 [4 per cell]
O  0.0165  0.2290  0.5157 [24 per cell]

Top 6 peaks for 15 to 90 degrees two-theta, by intensity:
hkl, 2theta, I/Imax
2 2 0, 29.6, 100
4 2 2, 52.6, 41
4 0 0, 42.4, 30
1 1 1, 18.0, 24
6 2 4, 85.1, 22
6 2 0, 69.7, 18